This entry pairs a crystal structure of PmSm3Ni8 with its computed powder diffraction line list. Radiation: Cu Kα. Structure: DFT lattice parameters and positions (GGA-PBE).
Lines closer than 0.1° are merged.

Cell lengths 5.1319, 5.1319, 25.2096 Å; angles 90.00, 90.00, 120.00 degrees
Space group R3m (No. 160, hexagonal axes)
One atom of each set of equivalent atoms:
Pm: 0.0000 0.0000 0.0000 (multiplicity 3)
Sm: 0.0000 0.0000 0.3752 (multiplicity 3)
Sm: 0.0000 0.0000 0.5000 (multiplicity 3)
Sm: 0.0000 0.0000 0.8751 (multiplicity 3)
Ni: 0.0000 0.0000 0.1876 (multiplicity 3)
Ni: 0.0000 0.0000 0.6876 (multiplicity 3)
Ni: 0.0004 0.5002 0.4377 (multiplicity 9)
Ni: 0.0000 0.5000 0.9374 (multiplicity 9)

Most intense lines, 10 to 90 degrees two-theta, sorted by position:
2θ/deg, d [Å], Rel. int., h k l
21.18, 4.194, 10, 0 1 2
34.94, 2.568, 60, 1 1 0
41.22, 2.190, 100, 1 0 10
43.17, 2.096, 13, 0 2 4
62.69, 1.482, 17, 3 0 0
66.86, 1.399, 8, 0 0 18
66.96, 1.398, 23, 2 1 10
73.71, 1.285, 11, 0 2 16
73.87, 1.283, 11, 2 2 0
88.26, 1.107, 8, 1 3 10